Simulated powder diffractogram of Tb2Sm3Ho6 for Cu Kα (weighted mean of Kα1 and Kα2), from a cell relaxed with PBE.
Intensities are scaled so that the largest is 100.

Largest 10 diffraction maxima, by angle, 2θ = 10–90°:
2θ/deg, d [Å], intensity
30.8, 2.905, 100
30.9, 2.894, 33
35.7, 2.514, 67
51.3, 1.780, 24
51.5, 1.775, 24
61.1, 1.517, 43
61.3, 1.513, 14
64.1, 1.453, 12
83.8, 1.155, 12
86.5, 1.125, 11

Crystal structure
Cell: 31.9010 31.9010 31.9010 Å, 6.40 6.40 6.40°
Atoms (fractional coordinates):
Tb1 0.0451 0.0451 0.0451
Tb2 0.9549 0.9549 0.9549
Sm1 0.2277 0.2277 0.2277
Sm2 0.5000 0.5000 0.5000
Sm3 0.7723 0.7723 0.7723
Ho1 0.1362 0.1362 0.1362
Ho2 0.3184 0.3184 0.3184
Ho3 0.4085 0.4085 0.4085
Ho4 0.5915 0.5915 0.5915
Ho5 0.6816 0.6816 0.6816
Ho6 0.8638 0.8638 0.8638

Simulated powder diffractogram of Tb6SmHo2Th for Cu Kα (weighted mean of Kα1 and Kα2), from a cell relaxed with PBE.
Intensities are scaled so that the largest is 100.

Largest 10 diffraction maxima, by angle, 2θ = 10–90°:
2θ/deg, d [Å], intensity
28.6, 3.120, 32
30.4, 2.937, 53
30.5, 2.928, 43
31.5, 2.843, 100
31.6, 2.827, 36
32.5, 2.753, 18
33.7, 2.656, 44
34.3, 2.613, 15
37.9, 2.375, 15
56.2, 1.638, 12

Crystal structure
Cell: 8.7580 8.7580 9.6374 Å, 94.10 94.10 117.17°
Atoms (fractional coordinates):
Tb1 0.0224 0.5717 0.1844
Tb2 0.1202 0.7480 0.5591
Tb3 0.2520 0.8798 0.9409
Tb4 0.2977 0.5072 0.3809
Tb5 0.4283 0.9776 0.3156
Tb6 0.4928 0.7023 0.1191
Tb7 0.5072 0.2977 0.8809
Tb8 0.5717 0.0224 0.6844
Tb9 0.7023 0.4928 0.6191
Tb10 0.7480 0.1202 0.0591
Tb11 0.8798 0.2520 0.4409
Tb12 0.9776 0.4283 0.8156
Sm1 0.0244 0.9756 0.2500
Sm2 0.9756 0.0244 0.7500
Ho1 0.1934 0.2947 0.0462
Ho2 0.2947 0.1934 0.5462
Ho3 0.7053 0.8066 0.4538
Ho4 0.8066 0.7053 0.9538
Th1 0.4058 0.5942 0.7500
Th2 0.5942 0.4058 0.2500

Simulated powder diffractogram of Tb2SmHoTl2 for Cu Kα (weighted mean of Kα1 and Kα2), from a cell relaxed with PBE.
Intensities are scaled so that the largest is 100.

Largest 10 diffraction maxima, by angle, 2θ = 10–90°:
2θ/deg, d [Å], intensity
29.7, 3.005, 18
31.4, 2.849, 57
31.6, 2.829, 22
31.9, 2.802, 100
32.7, 2.741, 82
34.6, 2.593, 35
35.0, 2.567, 59
37.6, 2.393, 24
52.3, 1.750, 19
60.8, 1.524, 19

Crystal structure
Cell: 5.1344 10.0320 6.8500 Å, 90.00 90.00 90.00°
Atoms (fractional coordinates):
Tb1 0.0000 0.0441 0.0000
Tb2 0.0000 0.9559 0.5000
Tb3 0.5000 0.1838 0.2827
Tb4 0.5000 0.8162 0.7827
Sm1 0.5000 0.4571 0.9087
Sm2 0.5000 0.5429 0.4087
Ho1 0.0000 0.3104 0.6282
Ho2 0.0000 0.6896 0.1282
Tl1 0.0000 0.3659 0.1685
Tl2 0.0000 0.6341 0.6685
Tl3 0.5000 0.1354 0.7454
Tl4 0.5000 0.8646 0.2454

Simulated powder diffractogram of TbSmHoTm for Cu Kα (weighted mean of Kα1 and Kα2), from a cell relaxed with PBE.
Intensities are scaled so that the largest is 100.

Largest 10 diffraction maxima, by angle, 2θ = 10–90°:
2θ/deg, d [Å], intensity
26.0, 3.432, 21
29.2, 3.054, 27
30.5, 2.927, 25
31.1, 2.872, 100
32.0, 2.800, 47
33.4, 2.681, 46
41.0, 2.203, 24
43.9, 2.064, 18
56.4, 1.630, 19
63.1, 1.473, 34

Crystal structure
Cell: 3.4324 5.6008 6.6899 Å, 90.00 90.00 90.00°
Atoms (fractional coordinates):
Tb1 0.0000 0.0000 0.0000
Sm1 0.5000 0.5000 0.7492
Ho1 0.5000 0.0000 0.4953
Tm1 0.5000 0.5000 0.2345

Simulated powder diffractogram of Tb4Sm2HoTm for Cu Kα (weighted mean of Kα1 and Kα2), from a cell relaxed with PBE.
Intensities are scaled so that the largest is 100.

Largest 10 diffraction maxima, by angle, 2θ = 10–90°:
2θ/deg, d [Å], intensity
26.9, 3.315, 45
30.3, 2.946, 100
41.0, 2.202, 89
53.9, 1.701, 20
61.3, 1.513, 27
63.1, 1.473, 12
64.5, 1.445, 23
69.9, 1.346, 18
81.0, 1.187, 12
87.6, 1.113, 10

Crystal structure
Cell: 9.5007 9.5007 6.8013 Å, 110.98 110.98 88.52°
Atoms (fractional coordinates):
Tb1 0.2448 0.2484 0.4975
Tb2 0.2459 0.7540 0.5012
Tb3 0.2460 0.7541 0.9988
Tb4 0.2484 0.2448 0.9975
Tb5 0.7516 0.7552 0.0025
Tb6 0.7540 0.2459 0.0012
Tb7 0.7541 0.2460 0.4988
Tb8 0.7552 0.7516 0.5025
Sm1 0.0000 0.5000 0.0000
Sm2 0.5000 0.0000 0.5000
Sm3 0.5000 0.5000 0.0000
Sm4 0.5000 0.5000 0.5000
Ho1 0.0000 0.5000 0.5000
Ho2 0.5000 0.0000 0.0000
Tm1 0.0000 0.0000 0.0000
Tm2 0.0000 0.0000 0.5000

Simulated powder diffractogram of Tb2SmHoTm6 for Cu Kα (weighted mean of Kα1 and Kα2), from a cell relaxed with PBE.
Intensities are scaled so that the largest is 100.

Largest 10 diffraction maxima, by angle, 2θ = 10–90°:
2θ/deg, d [Å], intensity
28.4, 3.141, 13
28.9, 3.085, 35
31.0, 2.883, 100
31.7, 2.824, 45
31.9, 2.803, 94
32.7, 2.737, 18
34.2, 2.619, 47
34.9, 2.568, 14
51.4, 1.776, 12
57.2, 1.612, 14

Crystal structure
Cell: 8.6913 8.6913 9.4716 Å, 93.95 93.95 117.95°
Atoms (fractional coordinates):
Tb1 0.1963 0.3021 0.0449
Tb2 0.3021 0.1963 0.5449
Tb3 0.6979 0.8037 0.4551
Tb4 0.8037 0.6979 0.9551
Sm1 0.0229 0.9771 0.2500
Sm2 0.9771 0.0229 0.7500
Ho1 0.4088 0.5912 0.7500
Ho2 0.5912 0.4088 0.2500
Tm1 0.0208 0.5701 0.1839
Tm2 0.1253 0.7474 0.5576
Tm3 0.2526 0.8747 0.9424
Tm4 0.2912 0.5064 0.3814
Tm5 0.4299 0.9792 0.3161
Tm6 0.4936 0.7088 0.1186
Tm7 0.5064 0.2912 0.8814
Tm8 0.5701 0.0208 0.6839
Tm9 0.7088 0.4936 0.6186
Tm10 0.7474 0.1253 0.0576
Tm11 0.8747 0.2526 0.4424
Tm12 0.9792 0.4299 0.8161

Simulated powder diffractogram of Tb6Sm3Ho2Tm for Cu Kα (weighted mean of Kα1 and Kα2), from a cell relaxed with PBE.
Intensities are scaled so that the largest is 100.

Largest 9 diffraction maxima, by angle, 2θ = 10–90°:
2θ/deg, d [Å], intensity
30.7, 2.910, 100
35.6, 2.520, 51
51.3, 1.782, 36
61.0, 1.519, 43
64.0, 1.455, 12
75.5, 1.260, 6
83.6, 1.156, 18
86.3, 1.127, 14
86.4, 1.126, 3

Crystal structure
Cell: 6.1725 6.1725 11.8129 Å, 94.98 94.98 119.97°
Atoms (fractional coordinates):
Tb1 0.0845 0.4175 0.7533
Tb2 0.2495 0.2495 0.2469
Tb3 0.4175 0.0845 0.7533
Tb4 0.5825 0.9155 0.2467
Tb5 0.7505 0.7505 0.7531
Tb6 0.9155 0.5825 0.2467
Sm1 0.0000 0.0000 0.5000
Sm2 0.3333 0.6667 0.5000
Sm3 0.6667 0.3333 0.5000
Ho1 0.1666 0.8334 0.0000
Ho2 0.8334 0.1666 0.0000
Tm1 0.5000 0.5000 0.0000

Simulated powder diffractogram of TbSmHo2Tm5 for Cu Kα (weighted mean of Kα1 and Kα2), from a cell relaxed with PBE.
Intensities are scaled so that the largest is 100.

Largest 10 diffraction maxima, by angle, 2θ = 10–90°:
2θ/deg, d [Å], intensity
28.6, 3.118, 18
30.5, 2.928, 38
32.3, 2.772, 42
32.8, 2.733, 100
34.1, 2.627, 13
43.7, 2.072, 12
51.7, 1.767, 11
57.9, 1.593, 21
60.7, 1.526, 14
62.3, 1.490, 13

Crystal structure
Cell: 10.1788 10.1788 10.5075 Å, 90.00 90.00 148.39°
Atoms (fractional coordinates):
Tb1 0.2008 0.7992 0.5000
Tb2 0.7992 0.2008 0.0000
Sm1 0.4163 0.5837 0.9420
Sm2 0.5837 0.4163 0.4420
Ho1 0.1099 0.8901 0.2244
Ho2 0.1130 0.8870 0.8076
Ho3 0.8870 0.1130 0.3076
Ho4 0.8901 0.1099 0.7244
Tm1 0.0182 0.9818 0.5146
Tm2 0.2820 0.7180 0.7978
Tm3 0.2993 0.7007 0.1983
Tm4 0.3900 0.6100 0.5107
Tm5 0.4786 0.5214 0.2247
Tm6 0.5214 0.4786 0.7247
Tm7 0.6100 0.3900 0.0107
Tm8 0.7007 0.2993 0.6983
Tm9 0.7180 0.2820 0.2978
Tm10 0.9818 0.0182 0.0146

Simulated powder diffractogram of TbSm5HoTm2 for Cu Kα (weighted mean of Kα1 and Kα2), from a cell relaxed with PBE.
Intensities are scaled so that the largest is 100.

Largest 10 diffraction maxima, by angle, 2θ = 10–90°:
2θ/deg, d [Å], intensity
27.9, 3.201, 15
30.2, 2.963, 33
31.9, 2.804, 38
32.1, 2.786, 100
33.7, 2.657, 13
47.1, 1.929, 10
50.8, 1.796, 10
57.0, 1.615, 20
59.1, 1.562, 11
61.3, 1.512, 12

Crystal structure
Cell: 10.4533 10.4533 10.6294 Å, 90.00 90.00 148.88°
Atoms (fractional coordinates):
Tb1 0.1991 0.8009 0.5000
Tb2 0.8009 0.1991 0.0000
Sm1 0.0167 0.9833 0.5097
Sm2 0.2808 0.7192 0.7996
Sm3 0.2987 0.7013 0.1958
Sm4 0.3883 0.6117 0.5122
Sm5 0.4808 0.5192 0.2307
Sm6 0.5192 0.4808 0.7307
Sm7 0.6117 0.3883 0.0122
Sm8 0.7013 0.2987 0.6958
Sm9 0.7192 0.2808 0.2996
Sm10 0.9833 0.0167 0.0097
Ho1 0.4106 0.5894 0.9476
Ho2 0.5894 0.4106 0.4476
Tm1 0.1109 0.8891 0.2282
Tm2 0.1146 0.8854 0.8029
Tm3 0.8854 0.1146 0.3029
Tm4 0.8891 0.1109 0.7282

Simulated powder diffractogram of Tb2SmY2Ho2 for Cu Kα (weighted mean of Kα1 and Kα2), from a cell relaxed with PBE.
Intensities are scaled so that the largest is 100.

Largest 10 diffraction maxima, by angle, 2θ = 10–90°:
2θ/deg, d [Å], intensity
10.9, 8.149, 2
31.5, 2.843, 100
45.1, 2.010, 18
55.9, 1.645, 9
56.1, 1.640, 29
65.6, 1.424, 6
65.8, 1.419, 6
74.6, 1.273, 8
74.7, 1.270, 8
83.4, 1.159, 3

Crystal structure
Cell: 8.7833 8.7833 8.7833 Å, 37.71 37.71 37.71°
Atoms (fractional coordinates):
Tb1 0.2187 0.2187 0.2187
Tb2 0.7813 0.7813 0.7813
Sm1 0.5000 0.5000 0.5000
Y1 0.3590 0.3590 0.3590
Y2 0.6410 0.6410 0.6410
Ho1 0.0726 0.0726 0.0726
Ho2 0.9274 0.9274 0.9274

Simulated powder diffractogram of TbSmYHo2 for Cu Kα (weighted mean of Kα1 and Kα2), from a cell relaxed with PBE.
Intensities are scaled so that the largest is 100.

Largest 10 diffraction maxima, by angle, 2θ = 10–90°:
2θ/deg, d [Å], intensity
15.4, 5.739, 48
26.4, 3.379, 42
28.1, 3.173, 42
29.3, 3.045, 53
31.2, 2.870, 63
32.9, 2.725, 100
33.1, 2.708, 42
35.9, 2.499, 59
40.0, 2.253, 47
45.9, 1.976, 65

Crystal structure
Cell: 7.1004 7.1004 7.1860 Å, 90.00 90.00 107.85°
Atoms (fractional coordinates):
Tb1 0.0129 0.9871 0.7500
Tb2 0.9871 0.0129 0.2500
Sm1 0.2804 0.7196 0.7500
Sm2 0.7196 0.2804 0.2500
Y1 0.2694 0.7306 0.2500
Y2 0.7306 0.2694 0.7500
Ho1 0.3103 0.3103 0.0000
Ho2 0.3103 0.3103 0.5000
Ho3 0.6897 0.6897 0.0000
Ho4 0.6897 0.6897 0.5000

Simulated powder diffractogram of Tb2Sm3Ho6Zr for Cu Kα (weighted mean of Kα1 and Kα2), from a cell relaxed with PBE.
Intensities are scaled so that the largest is 100.

Largest 10 diffraction maxima, by angle, 2θ = 10–90°:
2θ/deg, d [Å], intensity
31.1, 2.878, 100
31.2, 2.867, 33
36.1, 2.490, 67
51.8, 1.763, 24
52.0, 1.758, 23
61.7, 1.503, 23
61.8, 1.501, 23
61.9, 1.498, 9
64.8, 1.439, 12
87.7, 1.112, 10

Crystal structure
Cell: 6.1063 6.1063 11.6462 Å, 95.00 95.00 119.93°
Atoms (fractional coordinates):
Tb1 0.1667 0.8333 0.0000
Tb2 0.8333 0.1667 0.0000
Sm1 0.0000 0.0000 0.5000
Sm2 0.3338 0.6662 0.5000
Sm3 0.6662 0.3338 0.5000
Ho1 0.0926 0.4191 0.7568
Ho2 0.2546 0.2546 0.2430
Ho3 0.4191 0.0926 0.7568
Ho4 0.5809 0.9074 0.2432
Ho5 0.7454 0.7454 0.7570
Ho6 0.9074 0.5809 0.2432
Zr1 0.5000 0.5000 0.0000

Please write out number 10 again, unchanged.
Simulated powder diffractogram of Tb2SmY2Ho2 for Cu Kα (weighted mean of Kα1 and Kα2), from a cell relaxed with PBE.
Intensities are scaled so that the largest is 100.

Largest 10 diffraction maxima, by angle, 2θ = 10–90°:
2θ/deg, d [Å], intensity
10.9, 8.149, 2
31.5, 2.843, 100
45.1, 2.010, 18
55.9, 1.645, 9
56.1, 1.640, 29
65.6, 1.424, 6
65.8, 1.419, 6
74.6, 1.273, 8
74.7, 1.270, 8
83.4, 1.159, 3

Crystal structure
Cell: 8.7833 8.7833 8.7833 Å, 37.71 37.71 37.71°
Atoms (fractional coordinates):
Tb1 0.2187 0.2187 0.2187
Tb2 0.7813 0.7813 0.7813
Sm1 0.5000 0.5000 0.5000
Y1 0.3590 0.3590 0.3590
Y2 0.6410 0.6410 0.6410
Ho1 0.0726 0.0726 0.0726
Ho2 0.9274 0.9274 0.9274